Computed powder diffractogram
Compound: Pm4NpBi5
Radiation: Cu Ka
Structure: a DFT-relaxed cell (PBE, Alexandria)

Most intense lines, 10 to 90 degrees two-theta, by intensity:
| Position (°2θ) | I (rel.) |
| --- | --- |
| 27.62 | 100 |
| 39.46 | 79 |
| 64.52 | 38 |
| 48.84 | 29 |
| 71.56 | 28 |
| 57.03 | 14 |
| 84.93 | 9 |
| 23.86 | 2 |
| 46.64 | 1 |
| 14.26 | 1 |

Structural model:
a b c (Å): 12.0916 12.0916 12.0916
angles (deg): 158.22 149.04 38.17
Atoms (fractional coordinates):
Pm  0.1006  0.1006  0.0000
Pm  0.2998  0.2998  0.0000
Pm  0.7002  0.7002  0.0000
Pm  0.8994  0.8994  0.0000
Np  0.5000  0.5000  0.0000
Bi  0.0000  0.5000  0.5000
Bi  0.2004  0.7004  0.5000
Bi  0.4018  0.9018  0.5000
Bi  0.5982  0.0982  0.5000
Bi  0.7996  0.2996  0.5000

=====

Computed powder diffractogram
Compound: Sr3RhAu2
Radiation: Cu Ka
Structure: a DFT-relaxed cell (PBE, Alexandria)

Most intense lines, 10 to 90 degrees two-theta, by intensity:
| Position (°2θ) | I (rel.) |
| --- | --- |
| 32.54 | 100 |
| 29.22 | 93 |
| 39.81 | 88 |
| 35.60 | 88 |
| 20.13 | 75 |
| 28.24 | 64 |
| 37.94 | 62 |
| 42.32 | 59 |
| 59.50 | 49 |
| 37.81 | 49 |

Structural model:
a b c (Å): 12.5255 4.5285 12.4287
angles (deg): 90.00 90.00 90.00
Atoms (fractional coordinates):
Sr  0.0486  0.2500  0.1272
Sr  0.1148  0.7500  0.5516
Sr  0.2262  0.2500  0.7942
Sr  0.2738  0.7500  0.2942
Sr  0.3852  0.2500  0.0516
Sr  0.4514  0.7500  0.6272
Sr  0.5486  0.2500  0.3728
Sr  0.6148  0.7500  0.9484
Sr  0.7262  0.2500  0.7058
Sr  0.7738  0.7500  0.2058
Sr  0.8852  0.2500  0.4484
Sr  0.9514  0.7500  0.8728
Rh  0.1278  0.2500  0.3706
Rh  0.3722  0.7500  0.8706
Rh  0.6278  0.2500  0.1294
Rh  0.8722  0.7500  0.6294
Au  0.0126  0.7500  0.3087
Au  0.1927  0.7500  0.9952
Au  0.3073  0.2500  0.4952
Au  0.4874  0.2500  0.8087
Au  0.5126  0.7500  0.1913
Au  0.6927  0.7500  0.5048
Au  0.8073  0.2500  0.0048
Au  0.9874  0.2500  0.6913

=====

Computed powder diffractogram
Compound: Sm2YHo4Sc
Radiation: Cu Ka
Structure: a DFT-relaxed cell (PBE, Alexandria)

Most intense lines, 10 to 90 degrees two-theta, by intensity:
| Position (°2θ) | I (rel.) |
| --- | --- |
| 31.09 | 100 |
| 35.98 | 34 |
| 61.66 | 28 |
| 51.95 | 23 |
| 36.18 | 17 |
| 61.91 | 14 |
| 64.81 | 12 |
| 51.80 | 12 |
| 84.88 | 11 |
| 19.91 | 7 |

Structural model:
a b c (Å): 4.9916 4.9916 9.9323
angles (deg): 90.00 90.00 90.00
Atoms (fractional coordinates):
Sm  0.0000  0.0000  0.0000
Sm  0.5000  0.5000  0.5000
Y  0.0000  0.0000  0.5000
Ho  0.0000  0.5000  0.2444
Ho  0.0000  0.5000  0.7556
Ho  0.5000  0.0000  0.2444
Ho  0.5000  0.0000  0.7556
Sc  0.5000  0.5000  0.0000

=====

Computed powder diffractogram
Compound: Pm3SmCd3
Radiation: Cu Ka
Structure: a DFT-relaxed cell (PBE, Alexandria)

Most intense lines, 10 to 90 degrees two-theta, by intensity:
| Position (°2θ) | I (rel.) |
| --- | --- |
| 34.14 | 100 |
| 32.92 | 27 |
| 33.04 | 27 |
| 47.34 | 19 |
| 59.57 | 19 |
| 59.72 | 19 |
| 61.84 | 17 |
| 71.89 | 11 |
| 23.16 | 9 |
| 50.72 | 8 |

Structural model:
a b c (Å): 7.6811 7.6811 7.2003
angles (deg): 90.00 90.00 90.20
Atoms (fractional coordinates):
Pm  0.2403  0.2403  0.5000
Pm  0.2408  0.2408  0.0000
Pm  0.2429  0.7571  0.0000
Pm  0.7571  0.2429  0.0000
Pm  0.7592  0.7592  0.0000
Pm  0.7597  0.7597  0.5000
Sm  0.2423  0.7577  0.5000
Sm  0.7577  0.2423  0.5000
Cd  0.0000  0.5000  0.2511
Cd  0.0000  0.5000  0.7489
Cd  0.5000  0.0000  0.2511
Cd  0.5000  0.0000  0.7489
Cd  0.5000  0.5000  0.2521
Cd  0.5000  0.5000  0.7479

=====

Please write out number 3 again, unchanged.
Computed powder diffractogram
Compound: Sm2YHo4Sc
Radiation: Cu Ka
Structure: a DFT-relaxed cell (PBE, Alexandria)

Most intense lines, 10 to 90 degrees two-theta, by intensity:
| Position (°2θ) | I (rel.) |
| --- | --- |
| 31.09 | 100 |
| 35.98 | 34 |
| 61.66 | 28 |
| 51.95 | 23 |
| 36.18 | 17 |
| 61.91 | 14 |
| 64.81 | 12 |
| 51.80 | 12 |
| 84.88 | 11 |
| 19.91 | 7 |

Structural model:
a b c (Å): 4.9916 4.9916 9.9323
angles (deg): 90.00 90.00 90.00
Atoms (fractional coordinates):
Sm  0.0000  0.0000  0.0000
Sm  0.5000  0.5000  0.5000
Y  0.0000  0.0000  0.5000
Ho  0.0000  0.5000  0.2444
Ho  0.0000  0.5000  0.7556
Ho  0.5000  0.0000  0.2444
Ho  0.5000  0.0000  0.7556
Sc  0.5000  0.5000  0.0000